Starting from a DFT-relaxed cell (GGA+U, Alexandria), the PXRD pattern of Cr4Co3P6O24 was computed for Cu Kα X-rays.

Peak list (12 most intense, 2θ from 15° to 90°, low angle first)
two_theta	d_spacing	I (rel.)
18.56	4.780	23
20.51	4.330	33
28.37	3.146	18
28.66	3.115	32
29.67	3.011	22
29.90	2.989	100
30.08	2.971	85
30.95	2.890	32
31.71	2.822	17
33.40	2.683	19
34.28	2.616	28
57.89	1.593	20

a b c (Å): 6.369 7.964 9.400
angles (deg): 105.10 108.39 101.63
Space group P-1 (No. 2)
Symmetry-distinct sites (fractional):
Cr (0.049, 0.217, 0.024) [2 per cell]
Cr (0.380, 0.957, 0.609) [2 per cell]
Co (0.000, 0.500, 0.500) [1 per cell]
Co (0.296, 0.312, 0.795) [2 per cell]
P (0.094, 0.096, 0.333) [2 per cell]
P (0.222, 0.646, 0.266) [2 per cell]
P (0.392, 0.732, 0.866) [2 per cell]
O (0.010, 0.687, 0.157) [2 per cell]
O (0.070, 0.048, 0.154) [2 per cell]
O (0.116, 0.290, 0.415) [2 per cell]
O (0.121, 0.036, 0.661) [2 per cell]
O (0.208, 0.448, 0.203) [2 per cell]
O (0.222, 0.698, 0.440) [2 per cell]
O (0.248, 0.784, 0.964) [2 per cell]
O (0.268, 0.536, 0.738) [2 per cell]
O (0.314, 0.043, 0.418) [2 per cell]
O (0.370, 0.263, 0.008) [2 per cell]
O (0.449, 0.867, 0.785) [2 per cell]
O (0.453, 0.767, 0.270) [2 per cell]